# InNi2PbO6
Calculated XRD peak list, a wavelength of 1.5418 Å. Input: DFT lattice parameters and positions (PBE+U).
Lines closer than 0.1° are merged.

Cell and atoms:
```
10
Lattice="5.361 0.000 0.000 -2.680 4.646 0.000 -0.001 -3.089 4.698" Properties=species:S:1:pos:R:3 pbc="T T T"
In 0.000 0.000 0.000
Ni 0.000 0.006 3.007
Ni 2.681 1.551 0.638
Pb 2.681 -1.544 2.361
O -0.939 1.284 1.650
O 1.087 -1.379 4.003
O 1.579 0.178 1.649
O 0.657 1.645 4.003
O 2.042 3.196 1.648
O 3.616 -0.242 4.005
```

Peak list (10 most intense, 10 to 90 degrees two-theta, in order of rising 2θ)
d (Å)  intensity  h k l
4.411  14  1 0 0
3.878  63  1 0 -1
2.807  100  1 0 1
2.681  92  2 -1 0
2.205  17  0 2 -2
1.939  41  0 2 0
1.767  41  2 -1 2
1.703  13  3 -2 1
1.571  38  2 -3 0
1.548  27  3 0 -1

=====

# Sr3InNiO6
Calculated XRD peak list, a wavelength of 1.5418 Å. Input: DFT lattice parameters and positions (PBE+U).
Lines closer than 0.1° are merged.

Cell and atoms:
```
44
Lattice="9.451 0.000 0.000 0.000 9.744 0.000 -0.394 0.000 6.686" Properties=species:S:1:pos:R:3 pbc="T T T"
Sr 0.504 1.804 0.769
Sr 0.307 3.068 4.112
Sr 2.114 6.137 5.076
Sr 2.311 8.480 1.733
Sr 3.884 1.810 2.518
Sr 3.687 3.063 5.860
Sr 5.370 6.682 0.825
Sr 5.173 7.935 4.168
Sr 6.746 1.264 4.953
Sr 6.943 3.608 1.610
Sr 8.749 6.676 2.574
Sr 8.552 7.940 5.916
In 2.250 4.891 1.700
In 2.053 9.725 5.043
In 7.004 0.019 1.643
In 6.807 4.853 4.986
Ni -0.197 0.000 3.343
Ni 0.000 4.872 0.000
Ni 4.725 0.000 0.000
Ni 4.528 4.872 3.343
O -0.135 0.614 5.191
O 0.062 4.259 1.848
O 1.230 6.529 0.677
O 1.033 8.087 4.020
O 1.515 0.951 3.087
O 1.318 3.922 6.430
O 2.822 0.967 0.271
O 2.625 3.905 3.614
O 3.529 6.433 2.810
O 3.332 8.184 6.153
O 4.182 0.614 4.770
O 4.379 4.258 1.427
O 4.678 5.486 5.259
O 4.875 9.130 1.916
O 5.725 1.561 0.533
O 5.528 3.312 3.876
O 6.432 5.839 3.071
O 6.235 8.778 6.414
O 7.739 5.823 0.256
O 7.542 8.794 3.599
O 8.024 1.657 2.665
O 7.827 3.215 6.008
O 8.995 5.486 4.837
O 9.192 9.131 1.494
```

Peak list (10 most intense, 10 to 90 degrees two-theta, in order of rising 2θ)
d (Å)  intensity  h k l
4.866  17  1 1 -1
2.993  21  3 1 0
2.973  20  2 2 1
2.949  21  1 1 2
2.810  100  2 0 -2
2.331  18  2 2 2
2.286  12  1 3 -2
2.055  12  4 2 -1
2.043  12  2 4 1
1.621  14  3 3 -3

=====

# VIn2NiO6
Calculated XRD peak list, a wavelength of 1.5418 Å. Input: DFT lattice parameters and positions (PBE+U).
Lines closer than 0.1° are merged.

Cell and atoms:
```
10
Lattice="5.287 0.000 0.000 2.629 4.665 0.000 0.049 3.041 4.707" Properties=species:S:1:pos:R:3 pbc="T T T"
V 0.000 0.000 0.000
In 2.694 4.650 4.049
In 5.318 3.088 1.719
Ni 5.305 6.200 2.390
O 1.084 1.366 0.979
O 1.579 2.962 3.384
O 3.338 3.084 0.927
O 4.691 4.496 3.360
O 6.348 4.869 0.961
O 7.097 6.452 3.370
```

Peak list (10 most intense, 10 to 90 degrees two-theta, in order of rising 2θ)
d (Å)  intensity  h k l
3.919  23  0 1 0
3.857  24  1 1 1
3.826  23  1 0 -1
2.827  51  1 0 1
2.795  100  1 1 -1
2.681  89  -1 1 1
2.643  41  2 1 0
1.959  22  0 2 0
1.928  20  2 2 2
1.913  20  2 0 -2